Diffraction record for Th3Zn3Pd. The X-ray powder pattern is computed, not measured: it uses a structure optimized by DFT (GGA-PBE) and Cu Kα X-rays.

Crystal structure
Unit cell a=3.6550 b=4.4687 c=20.0056 alpha=90.00 beta=90.00 gamma=90.00
Sites, in units of the cell vectors:
Th: 0.0000 0.0000 0.0000
Th: 0.0000 0.0000 0.3894
Th: 0.0000 0.5000 0.2010
Th: 0.5000 0.0000 0.7010
Th: 0.5000 0.5000 0.5000
Th: 0.5000 0.5000 0.8894
Zn: 0.0000 0.0000 0.5607
Zn: 0.0000 0.0000 0.8351
Zn: 0.0000 0.5000 0.6290
Zn: 0.5000 0.0000 0.1290
Zn: 0.5000 0.5000 0.0607
Zn: 0.5000 0.5000 0.3351
Pd: 0.0000 0.5000 0.7605
Pd: 0.5000 0.0000 0.2605

Principal peaks in the range 15° ≤ 2θ ≤ 90°, sorted by position:
Position (°2θ), I_rel
23.97, 39
32.90, 100
33.20, 62
37.35, 48
40.37, 28
49.90, 15
53.22, 33
63.97, 28
66.05, 13
68.69, 12



Diffraction record for Ti5Pd6. The X-ray powder pattern is computed, not measured: it uses a structure optimized by DFT (GGA-PBE) and Cu Kα X-rays.

Crystal structure
Unit cell a=4.5401 b=5.6354 c=7.8915 alpha=110.85 beta=106.64 gamma=90.01
Sites, in units of the cell vectors:
Ti: 0.0000 0.0000 0.0000
Ti: 0.3161 0.3156 0.6302
Ti: 0.3291 0.8286 0.6567
Ti: 0.6709 0.1714 0.3433
Ti: 0.6839 0.6844 0.3698
Pd: 0.1446 0.4074 0.2914
Pd: 0.1450 0.8840 0.2916
Pd: 0.5000 0.2572 0.0000
Pd: 0.5000 0.7428 0.0000
Pd: 0.8550 0.1160 0.7084
Pd: 0.8554 0.5926 0.7086

Principal peaks in the range 15° ≤ 2θ ≤ 90°, sorted by position:
Position (°2θ), I_rel
27.37, 34
31.76, 13
37.67, 14
38.47, 25
39.71, 34
42.41, 100
56.48, 16
66.35, 8
73.92, 18
80.18, 8



Diffraction record for TiPd2. The X-ray powder pattern is computed, not measured: it uses a structure optimized by DFT (GGA-PBE) and Cu Kα X-rays.

Crystal structure
Unit cell a=3.0500 b=3.5075 c=8.6974 alpha=90.00 beta=90.00 gamma=90.00
Sites, in units of the cell vectors:
Ti: 0.0000 0.0000 0.0000
Ti: 0.5000 0.5000 0.5000
Pd: 0.0000 0.0000 0.3419
Pd: 0.0000 0.0000 0.6581
Pd: 0.5000 0.5000 0.1581
Pd: 0.5000 0.5000 0.8419

Principal peaks in the range 15° ≤ 2θ ≤ 90°, sorted by position:
Position (°2θ), I_rel
27.42, 19
31.07, 14
39.14, 100
40.36, 90
43.05, 74
52.15, 21
60.73, 13
69.86, 33
75.47, 27
77.88, 23



Diffraction record for TiPd7. The X-ray powder pattern is computed, not measured: it uses a structure optimized by DFT (GGA-PBE) and Cu Kα X-rays.

Crystal structure
Unit cell a=3.9391 b=3.9391 c=15.7627 alpha=90.00 beta=90.00 gamma=90.00
Sites, in units of the cell vectors:
Ti: 0.0000 0.0000 0.0000
Ti: 0.5000 0.5000 0.5000
Pd: 0.0000 0.0000 0.2513
Pd: 0.0000 0.0000 0.5000
Pd: 0.0000 0.0000 0.7487
Pd: 0.0000 0.5000 0.1206
Pd: 0.0000 0.5000 0.3794
Pd: 0.0000 0.5000 0.6206
Pd: 0.0000 0.5000 0.8794
Pd: 0.5000 0.0000 0.1206
Pd: 0.5000 0.0000 0.3794
Pd: 0.5000 0.0000 0.6206
Pd: 0.5000 0.0000 0.8794
Pd: 0.5000 0.5000 0.0000
Pd: 0.5000 0.5000 0.2487
Pd: 0.5000 0.5000 0.7513

Principal peaks in the range 15° ≤ 2θ ≤ 90°, sorted by position:
Position (°2θ), I_rel
23.28, 2
28.32, 1
34.14, 3
36.51, 1
39.62, 100
46.08, 48
67.21, 30
68.38, 1
80.93, 35
85.35, 10



Diffraction record for TmTi2Pd8. The X-ray powder pattern is computed, not measured: it uses a structure optimized by DFT (GGA-PBE) and Cu Kα X-rays.

Crystal structure
Unit cell a=7.4218 b=7.4218 c=6.5313 alpha=107.27 beta=107.27 gamma=31.36
Sites, in units of the cell vectors:
Tm: 0.0000 0.0000 0.0000
Ti: 0.2783 0.2783 0.3341
Ti: 0.7217 0.7217 0.6659
Pd: 0.1055 0.1055 0.4658
Pd: 0.1827 0.1827 0.9158
Pd: 0.3506 0.3506 0.7899
Pd: 0.4562 0.4562 0.2813
Pd: 0.5438 0.5438 0.7187
Pd: 0.6494 0.6494 0.2101
Pd: 0.8173 0.8173 0.0842
Pd: 0.8945 0.8945 0.5342

Principal peaks in the range 15° ≤ 2θ ≤ 90°, sorted by position:
Position (°2θ), I_rel
38.81, 100
38.93, 100
43.60, 36
45.21, 34
46.72, 26
64.62, 22
67.04, 17
76.78, 12
77.00, 12
79.18, 24



Diffraction record for TmTiZnPd. The X-ray powder pattern is computed, not measured: it uses a structure optimized by DFT (GGA-PBE) and Cu Kα X-rays.

Crystal structure
Unit cell a=6.6849 b=6.6849 c=6.6849 alpha=90.00 beta=90.00 gamma=90.00
Sites, in units of the cell vectors:
Tm: 0.0000 0.0000 0.0000
Tm: 0.0000 0.5000 0.5000
Tm: 0.5000 0.0000 0.5000
Tm: 0.5000 0.5000 0.0000
Ti: 0.0000 0.0000 0.5000
Ti: 0.0000 0.5000 0.0000
Ti: 0.5000 0.0000 0.0000
Ti: 0.5000 0.5000 0.5000
Zn: 0.2500 0.2500 0.7500
Zn: 0.2500 0.7500 0.2500
Zn: 0.7500 0.2500 0.2500
Zn: 0.7500 0.7500 0.7500
Pd: 0.2500 0.2500 0.2500
Pd: 0.2500 0.7500 0.7500
Pd: 0.7500 0.2500 0.7500
Pd: 0.7500 0.7500 0.2500

Principal peaks in the range 15° ≤ 2θ ≤ 90°, sorted by position:
Position (°2θ), I_rel
23.04, 24
26.67, 1
38.07, 100
44.98, 13
54.94, 17
60.36, 6
68.80, 34
73.63, 4
81.44, 10
86.04, 5



Diffraction record for TiVPd4. The X-ray powder pattern is computed, not measured: it uses a structure optimized by DFT (GGA-PBE) and Cu Kα X-rays.

Crystal structure
Unit cell a=7.4967 b=2.7648 c=17.3662 alpha=90.00 beta=90.00 gamma=90.00
Sites, in units of the cell vectors:
Ti: 0.2481 0.2500 0.0612
Ti: 0.2519 0.7500 0.5612
Ti: 0.7481 0.2500 0.4388
Ti: 0.7519 0.7500 0.9388
V: 0.2462 0.2500 0.8118
V: 0.2538 0.7500 0.3118
V: 0.7462 0.2500 0.6882
V: 0.7538 0.7500 0.1882
Pd: 0.0601 0.7500 0.4338
Pd: 0.0693 0.7500 0.6978
Pd: 0.0993 0.7500 0.1786
Pd: 0.1025 0.7500 0.9374
Pd: 0.3975 0.2500 0.4374
Pd: 0.4007 0.2500 0.6786
Pd: 0.4307 0.2500 0.1978
Pd: 0.4399 0.2500 0.9338
Pd: 0.5601 0.7500 0.0662
Pd: 0.5693 0.7500 0.8022
Pd: 0.5993 0.7500 0.3214
Pd: 0.6025 0.7500 0.5626
Pd: 0.8975 0.2500 0.0626
Pd: 0.9007 0.2500 0.8214
Pd: 0.9307 0.2500 0.3022
Pd: 0.9399 0.2500 0.5662

Principal peaks in the range 15° ≤ 2θ ≤ 90°, sorted by position:
Position (°2θ), I_rel
23.70, 20
40.52, 100
41.60, 29
41.71, 60
43.58, 8
59.49, 18
59.60, 9
75.18, 8
75.33, 15
82.82, 22



Diffraction record for TiV2Pd6. The X-ray powder pattern is computed, not measured: it uses a structure optimized by DFT (GGA-PBE) and Cu Kα X-rays.

Crystal structure
Unit cell a=7.5814 b=7.5814 c=2.7122 alpha=90.00 beta=90.00 gamma=120.00
Sites, in units of the cell vectors:
Ti: 0.0000 0.0000 0.0000
V: 0.3333 0.6667 0.5000
V: 0.6667 0.3333 0.5000
Pd: 0.0000 0.3353 0.2448
Pd: 0.0000 0.6647 0.7552
Pd: 0.3353 0.0000 0.2448
Pd: 0.3353 0.3353 0.7552
Pd: 0.6647 0.0000 0.7552
Pd: 0.6647 0.6647 0.2448

Principal peaks in the range 15° ≤ 2θ ≤ 90°, sorted by position:
Position (°2θ), I_rel
23.47, 21
40.91, 100
41.25, 96
59.50, 32
74.28, 11
74.97, 32
75.20, 15
83.94, 10
88.69, 7
89.58, 10



Diffraction record for Ti2Pd2W. The X-ray powder pattern is computed, not measured: it uses a structure optimized by DFT (GGA-PBE) and Cu Kα X-rays.

Crystal structure
Unit cell a=3.0830 b=16.9044 c=3.1843 alpha=90.00 beta=90.00 gamma=90.00
Sites, in units of the cell vectors:
Ti: 0.0000 0.0943 0.0000
Ti: 0.0000 0.9057 0.0000
Ti: 0.5000 0.4057 0.0000
Ti: 0.5000 0.5943 0.0000
Pd: 0.0000 0.3184 0.5000
Pd: 0.0000 0.6816 0.5000
Pd: 0.5000 0.1816 0.5000
Pd: 0.5000 0.8184 0.5000
W: 0.0000 0.5000 0.5000
W: 0.5000 0.0000 0.5000

Principal peaks in the range 15° ≤ 2θ ≤ 90°, sorted by position:
Position (°2θ), I_rel
28.02, 52
29.45, 37
31.76, 32
35.29, 30
39.56, 95
41.10, 100
42.86, 74
49.18, 37
72.42, 31
75.26, 32



Diffraction record for Ti4PdW. The X-ray powder pattern is computed, not measured: it uses a structure optimized by DFT (GGA-PBE) and Cu Kα X-rays.

Crystal structure
Unit cell a=7.6028 b=4.3916 c=7.3530 alpha=90.00 beta=110.22 gamma=90.00
Sites, in units of the cell vectors:
Ti: 0.1234 0.0000 0.3704
Ti: 0.1274 0.5000 0.8822
Ti: 0.3726 0.0000 0.1178
Ti: 0.3766 0.5000 0.6296
Ti: 0.6234 0.5000 0.3704
Ti: 0.6274 0.0000 0.8822
Ti: 0.8726 0.5000 0.1178
Ti: 0.8766 0.0000 0.6296
Pd: 0.0000 0.5000 0.5000
Pd: 0.5000 0.0000 0.5000
W: 0.0000 0.0000 0.0000
W: 0.5000 0.5000 0.0000

Principal peaks in the range 15° ≤ 2θ ≤ 90°, sorted by position:
Position (°2θ), I_rel
24.95, 100
25.83, 31
41.12, 73
42.25, 67
48.70, 16
49.20, 33
50.18, 15
60.42, 22
65.58, 13
75.70, 22



Diffraction record for YTiPd5. The X-ray powder pattern is computed, not measured: it uses a structure optimized by DFT (GGA-PBE) and Cu Kα X-rays.

Crystal structure
Unit cell a=4.1217 b=4.1217 c=7.3244 alpha=90.00 beta=90.00 gamma=90.00
Sites, in units of the cell vectors:
Y: 0.0000 0.0000 0.0000
Ti: 0.5000 0.5000 0.5000
Pd: 0.0000 0.5000 0.2921
Pd: 0.0000 0.5000 0.7079
Pd: 0.5000 0.0000 0.2921
Pd: 0.5000 0.0000 0.7079
Pd: 0.5000 0.5000 0.0000

Principal peaks in the range 15° ≤ 2θ ≤ 90°, sorted by position:
Position (°2θ), I_rel
30.68, 9
33.08, 30
36.81, 17
39.52, 100
43.93, 44
58.62, 17
63.88, 14
68.55, 10
72.17, 14
77.78, 26



Diffraction record for TiZn2Pd5. The X-ray powder pattern is computed, not measured: it uses a structure optimized by DFT (GGA-PBE) and Cu Kα X-rays.

Crystal structure
Unit cell a=7.2626 b=7.2626 c=7.2626 alpha=125.74 beta=125.74 gamma=80.32
Sites, in units of the cell vectors:
Ti: 0.2500 0.2500 0.0000
Ti: 0.7500 0.7500 0.0000
Zn: 0.1430 0.6430 0.7860
Zn: 0.3570 0.1430 0.5000
Zn: 0.6430 0.8570 0.5000
Zn: 0.8570 0.3570 0.2140
Pd: 0.0000 0.0000 0.0000
Pd: 0.0061 0.8126 0.5000
Pd: 0.1874 0.6874 0.1934
Pd: 0.3126 0.5061 0.5000
Pd: 0.4939 0.9939 0.8066
Pd: 0.5000 0.5000 0.0000
Pd: 0.5061 0.0061 0.1934
Pd: 0.6874 0.4939 0.5000
Pd: 0.8126 0.3126 0.8066
Pd: 0.9939 0.1874 0.5000

Principal peaks in the range 15° ≤ 2θ ≤ 90°, sorted by position:
Position (°2θ), I_rel
37.68, 10
38.95, 100
42.50, 10
43.19, 43
49.25, 13
63.09, 9
67.55, 14
80.49, 6
82.67, 16
85.23, 9